Entry 1:
This entry pairs a crystal structure of BaHfP3 with its theoretical powder X-ray diffraction pattern. Radiation: a wavelength of 1.5418 Å. Structure: DFT lattice parameters and positions (GGA-PBE).

Largest 10 diffraction maxima, sorted by position, 2θ from 5° to 70°:
two_theta	Rel. int.
17.52	9
24.88	100
35.47	42
39.83	4
43.82	45
51.04	29
54.39	2
57.59	20
63.70	10
69.49	23

Cell and atoms:
```
data_BaHfP3
_chemical_formula_sum 'Ba1 Hf1 P3'
_space_group_name_H-M_alt 'P 1'
_space_group_IT_number 1
_cell_length_a 5.0609
_cell_length_b 5.0609
_cell_length_c 5.0609
_cell_angle_alpha 90.00
_cell_angle_beta 90.00
_cell_angle_gamma 90.00
loop_
_space_group_symop_operation_xyz
'x,y,z'
loop_
_atom_site_label
_atom_site_type_symbol
_atom_site_fract_x
_atom_site_fract_y
_atom_site_fract_z
Ba1 Ba 0.0000 0.0000 0.0000
Hf1 Hf 0.5000 0.5000 0.5000
P1 P 0.0000 0.5000 0.5000
P2 P 0.5000 0.0000 0.5000
P3 P 0.5000 0.5000 0.0000
```


Entry 2:
This entry pairs a crystal structure of BaO10 with its theoretical powder X-ray diffraction pattern. Radiation: a wavelength of 1.5418 Å. Structure: DFT lattice parameters and positions (GGA-PBE).

Largest 10 diffraction maxima, sorted by position, 2θ from 5° to 70°:
two_theta	Rel. int.
14.31	80
20.29	21
23.45	29
27.58	100
28.84	37
34.48	26
37.50	44
45.55	17
46.38	24
50.33	30

Cell and atoms:
```
data_BaO10
_chemical_formula_sum 'Ba2 O20'
_space_group_name_H-M_alt 'P 1'
_space_group_IT_number 1
_cell_length_a 6.1908
_cell_length_b 6.1908
_cell_length_c 9.5996
_cell_angle_alpha 90.00
_cell_angle_beta 90.00
_cell_angle_gamma 90.00
loop_
_space_group_symop_operation_xyz
'x,y,z'
loop_
_atom_site_label
_atom_site_type_symbol
_atom_site_fract_x
_atom_site_fract_y
_atom_site_fract_z
Ba1 Ba 0.0000 0.0000 0.2500
Ba2 Ba 0.0000 0.0000 0.7500
O1 O 0.0689 0.3468 0.0665
O2 O 0.0689 0.3468 0.9335
O3 O 0.0689 0.6532 0.4335
O4 O 0.0689 0.6532 0.5665
O5 O 0.3468 0.0689 0.4335
O6 O 0.3468 0.0689 0.5665
O7 O 0.3468 0.9311 0.0665
O8 O 0.3468 0.9311 0.9335
O9 O 0.5000 0.5000 0.1854
O10 O 0.5000 0.5000 0.3146
O11 O 0.5000 0.5000 0.6854
O12 O 0.5000 0.5000 0.8146
O13 O 0.6532 0.0689 0.0665
O14 O 0.6532 0.0689 0.9335
O15 O 0.6532 0.9311 0.4335
O16 O 0.6532 0.9311 0.5665
O17 O 0.9311 0.3468 0.4335
O18 O 0.9311 0.3468 0.5665
O19 O 0.9311 0.6532 0.0665
O20 O 0.9311 0.6532 0.9335
```


Entry 3:
This entry pairs a crystal structure of Sr3Al2In4 with its theoretical powder X-ray diffraction pattern. Radiation: a wavelength of 1.5418 Å. Structure: DFT lattice parameters and positions (GGA-PBE).

Largest 10 diffraction maxima, sorted by position, 2θ from 5° to 70°:
two_theta	Rel. int.
15.13	20
20.90	16
29.72	55
30.33	100
30.50	37
34.91	35
35.97	43
36.46	62
47.85	22
50.99	23

Cell and atoms:
```
data_Sr3Al2In4
_chemical_formula_sum 'Sr6 Al4 In8'
_space_group_name_H-M_alt 'P 1'
_space_group_IT_number 1
_cell_length_a 6.3699
_cell_length_b 6.3699
_cell_length_c 18.2897
_cell_angle_alpha 104.53
_cell_angle_beta 104.53
_cell_angle_gamma 46.16
loop_
_space_group_symop_operation_xyz
'x,y,z'
loop_
_atom_site_label
_atom_site_type_symbol
_atom_site_fract_x
_atom_site_fract_y
_atom_site_fract_z
Sr1 Sr 0.0000 0.0000 0.0000
Sr2 Sr 0.2259 0.2259 0.8633
Sr3 Sr 0.3317 0.3317 0.6647
Sr4 Sr 0.5594 0.5594 0.5284
Sr5 Sr 0.6660 0.6660 0.3332
Sr6 Sr 0.8955 0.8955 0.1995
Al1 Al 0.2327 0.2327 0.4634
Al2 Al 0.5786 0.5786 0.1326
Al3 Al 0.9096 0.9096 0.7973
Al4 Al 0.9932 0.9932 0.3989
In1 In 0.0299 0.0299 0.6728
In2 In 0.1894 0.1894 0.1906
In3 In 0.3310 0.3310 0.0656
In4 In 0.3709 0.3709 0.3451
In5 In 0.5196 0.5196 0.8548
In6 In 0.6621 0.6621 0.7303
In7 In 0.6990 0.6990 0.0088
In8 In 0.8543 0.8543 0.5167
```


Entry 4:
This entry pairs a crystal structure of HoErPdAu with its theoretical powder X-ray diffraction pattern. Radiation: a wavelength of 1.5418 Å. Structure: DFT lattice parameters and positions (GGA-PBE).

Largest 10 diffraction maxima, sorted by position, 2θ from 5° to 70°:
two_theta	Rel. int.
32.02	100
33.82	30
35.08	18
38.78	35
39.14	22
40.25	70
49.13	18
52.39	17
64.29	16
65.98	13

Cell and atoms:
```
data_HoErPdAu
_chemical_formula_sum 'Ho1 Er1 Pd1 Au1'
_space_group_name_H-M_alt 'P 1'
_space_group_IT_number 1
_cell_length_a 4.6442
_cell_length_b 5.6151
_cell_length_c 5.6151
_cell_angle_alpha 38.56
_cell_angle_beta 90.00
_cell_angle_gamma 90.00
loop_
_space_group_symop_operation_xyz
'x,y,z'
loop_
_atom_site_label
_atom_site_type_symbol
_atom_site_fract_x
_atom_site_fract_y
_atom_site_fract_z
Ho1 Ho 0.0000 0.0000 0.0000
Er1 Er 0.5000 0.7233 0.7233
Pd1 Pd 0.0000 0.2728 0.2728
Au1 Au 0.5000 0.4465 0.4465
```